[1]
This entry pairs a crystal structure of Ba8Pt3Au with its simulated PXRD pattern. Radiation: CuKα. Structure: DFT lattice parameters and positions (PBE).
Peak positions follow from Bragg's law for the DFT cell and can differ from measured ones.

Atomic structure:
Unit cell a=15.869 b=9.382 c=9.280 alpha=90.00 beta=124.48 gamma=90.00
Space group C2/m (No. 12)
Symmetry-distinct sites (fractional):
Ba1 0.009 0.241 0.246
Ba2 0.243 0.000 0.260
Ba3 0.250 0.000 0.728
Pt1 0.000 0.000 0.000
Pt2 0.250 0.250 0.500
Au1 0.000 0.500 0.000

The 6 most intense peaks (5° ≤ 2θ ≤ 70°), most intense first:
- hkl 2 2 -2, 27.03 deg, I 100
- hkl 2 0 -1, 11.82 deg, I 86
- hkl 2 2 2, 38.43 deg, I 60
- hkl 4 0 0, 27.27 deg, I 49
- hkl 2 0 1, 22.27 deg, I 38
- hkl 6 2 -2, 39.10 deg, I 36

[2]
This entry pairs a crystal structure of HoZn13 with its simulated PXRD pattern. Radiation: CuKα. Structure: DFT lattice parameters and positions (PBE).
Peak positions follow from Bragg's law for the DFT cell and can differ from measured ones.

Atomic structure:
Unit cell a=12.126 b=12.126 c=12.126 alpha=90.00 beta=90.00 gamma=90.00
Space group Fm-3c (No. 226)
Symmetry-distinct sites (fractional):
Ho1 0.250 0.250 0.250
Zn1 0.000 0.000 0.000
Zn2 0.000 0.121 0.180

The 6 most intense peaks (5° ≤ 2θ ≤ 70°), most intense first:
- hkl 4 2 2, 36.29 deg, I 100
- hkl 5 3 1, 44.19 deg, I 98
- hkl 4 2 0, 33.04 deg, I 51
- hkl 6 2 0, 47.42 deg, I 21
- hkl 6 0 0, 44.85 deg, I 20
- hkl 6 4 4, 63.24 deg, I 17